No. 1
Structure and theoretical X-ray powder pattern of Pm3Th (the GGA-PBE geometry in the Materials Project; Cu Kα X-rays).
Peak positions follow from Bragg's law for the DFT cell and can differ from measured ones.

```
data_Pm3Th
_chemical_formula_sum 'Pm6 Th2'
_cell_length_a 5.160
_cell_length_b 5.160
_cell_length_c 10.202
_cell_angle_alpha 90.00
_cell_angle_beta 90.00
_cell_angle_gamma 90.00
_space_group_name_H-M_alt 'I 4/m m m'
_space_group_IT_number 139
_space_group_name_Hall '-I 4 2'
loop_
_atom_site_label
_atom_site_fract_x
_atom_site_fract_y
_atom_site_fract_z
Pm1 0.000 0.000 0.000
Pm2 0.000 0.500 0.250
Th1 0.000 0.000 0.500
```

Largest 10 diffraction maxima, by angle, 2θ from 10° to 80°:
2theta  d [Å]  I/Imax
19.28  4.605  3.6
30.11  2.968  100.0
34.77  2.580  34.2
35.19  2.551  16.6
49.99  1.824  12.4
50.30  1.814  24.3
59.47  1.554  29.5
60.02  1.541  14.4
62.60  1.484  12.6
73.39  1.290  4.0


No. 2
Structure and theoretical X-ray powder pattern of PmTmTl2 (the GGA-PBE geometry in the Materials Project; Cu Kα X-rays).
Peak positions follow from Bragg's law for the DFT cell and can differ from measured ones.

```
data_PmTmTl2
_chemical_formula_sum 'Pm4 Tm4 Tl8'
_cell_length_a 7.644
_cell_length_b 7.644
_cell_length_c 7.644
_cell_angle_alpha 90.00
_cell_angle_beta 90.00
_cell_angle_gamma 90.00
_space_group_name_H-M_alt 'F m -3 m'
_space_group_IT_number 225
_space_group_name_Hall '-F 4 2 3'
loop_
_atom_site_label
_atom_site_fract_x
_atom_site_fract_y
_atom_site_fract_z
Pm1 0.000 0.000 0.000
Tm1 0.000 0.000 0.500
Tl1 0.250 0.250 0.250
```

Largest 8 diffraction maxima, by angle, 2θ from 10° to 80°:
2theta  d [Å]  I/Imax
23.27  3.822  1.6
33.15  2.703  100.0
40.90  2.207  0.5
47.58  1.911  18.4
53.62  1.709  0.8
59.22  1.560  38.6
69.57  1.351  12.0
79.26  1.209  16.8